Starting from a cell relaxed with GGA-PBE, the powder XRD pattern of PuTaPd14 was computed for λ = 1.5418 Å (Cu Kα).

Most intense lines, 10 to 90 degrees two-theta, low angle first:
h k l  2theta  I_rel
0 0 1  11.38  4.9
1 1 1  24.73  3.2
2 0 2  38.98  100.0
2 2 0  44.61  33.9
0 0 4  46.71  14.9
4 0 0  64.93  10.9
2 2 4  66.57  20.2
4 2 2  78.40  25.1
2 0 6  81.44  11.8
4 0 4  83.72  10.7

Crystal structure
```
data_PuTaPd14
_chemical_formula_sum 'Pu1 Ta1 Pd14'
_cell_length_a 5.745
_cell_length_b 5.745
_cell_length_c 7.779
_cell_angle_alpha 90.00
_cell_angle_beta 90.00
_cell_angle_gamma 90.00
_space_group_name_H-M_alt 'P 4/m m m'
_space_group_IT_number 123
_space_group_name_Hall '-P 4 2'
loop_
_atom_site_label
_atom_site_type_symbol
_atom_site_fract_x
_atom_site_fract_y
_atom_site_fract_z
Pu1 Pu 0.000 0.000 0.000
Ta1 Ta 0.500 0.500 0.000
Pd1 Pd 0.000 0.000 0.500
Pd2 Pd 0.000 0.500 0.000
Pd3 Pd 0.000 0.500 0.500
Pd4 Pd 0.256 0.256 0.248
Pd5 Pd 0.500 0.500 0.500
```